Theoretical X-ray powder pattern
Compound: Hg3C
Radiation: Cu Kα, 1.54184 Å
Structure: a cell relaxed with GGA-PBE
Neutral-atom scattering factors, no anomalous dispersion.

Most intense lines, 2θ = 10–90°, low angle first:
two_theta  I_rel  h k l
20.8  9  0 0 2
23.1  29  1 0 1
36.2  100  1 1 2
37.9  9  1 0 3
42.0  33  2 0 0
42.3  16  0 0 4
48.5  9  2 1 1
60.9  11  2 2 0
61.1  22  2 0 4
73.0  27  3 1 2
73.4  13  1 1 6
76.9  12  2 2 4

Atomic structure:
abc: 4.302 4.302 8.550
angles: 90.00 90.00 90.00
Positions (direct):
Hg (0.000, 0.000, 0.000)
Hg (0.000, 0.500, 0.250)
Hg (0.000, 0.500, 0.750)
Hg (0.500, 0.000, 0.250)
Hg (0.500, 0.000, 0.750)
Hg (0.500, 0.500, 0.500)
C (0.000, 0.000, 0.500)
C (0.500, 0.500, 0.000)